No. 1
Diffraction record for Sr2FeSnO6. The powder diffraction line list is computed, not measured: it uses a structure optimized by DFT (GGA+U) and Cu Kα (weighted mean of Kα1 and Kα2).

Crystal structure
```
20
Lattice="4.056 -8.007 0.000 4.056 8.007 0.000 0.000 0.000 4.030" Properties=species:S:1:pos:R:3 pbc="T T T"
Sr 2.021 1.874 0.000
Sr 2.021 -1.874 0.000
Sr 6.092 1.874 0.000
Sr 6.092 -1.874 0.000
Fe 0.000 0.000 2.015
Fe 4.056 0.000 2.015
Sn 4.056 4.000 2.015
Sn 4.056 -4.000 2.015
O 0.000 0.000 0.000
O 2.028 4.003 2.015
O 4.056 6.080 2.015
O 1.977 0.000 2.015
O 4.056 4.008 0.000
O 4.056 1.927 2.015
O 2.028 -4.003 2.015
O 4.056 0.000 0.000
O 4.056 -1.927 2.015
O 4.056 -4.008 0.000
O 6.136 0.000 2.015
O 4.056 -6.080 2.015
```

Main lines, in order of rising 2θ (2θ = 10–90°):
| two_theta | d (Å) | intensity |
| --- | --- | --- |
| 31.29 | 2.859 | 100 |
| 31.39 | 2.849 | 97 |
| 31.50 | 2.840 | 96 |
| 44.68 | 2.028 | 36 |
| 44.99 | 2.015 | 35 |
| 45.30 | 2.002 | 32 |
| 55.69 | 1.651 | 39 |
| 55.89 | 1.645 | 39 |
| 56.09 | 1.640 | 36 |
| 65.27 | 1.429 | 21 |
| 65.52 | 1.425 | 20 |
| 83.01 | 1.163 | 20 |


No. 2
Diffraction record for Li3Fe4B4O12. The powder diffraction line list is computed, not measured: it uses a structure optimized by DFT (GGA+U) and Cu Kα (weighted mean of Kα1 and Kα2).

Crystal structure
```
46
Lattice="5.247 0.000 0.000 2.614 4.558 0.000 0.492 -0.275 20.272" Properties=species:S:1:pos:R:3 pbc="T T T"
Li 0.000 0.000 0.000
Li 2.705 4.435 4.943
Li 4.726 1.156 17.665
Li 4.483 1.254 7.531
Li 4.765 1.304 12.582
Li 8.169 4.267 15.053
Fe 1.793 2.896 2.187
Fe 2.126 2.834 12.233
Fe 4.724 4.212 17.335
Fe 2.970 1.281 14.813
Fe 4.472 4.304 7.211
Fe 2.812 1.421 4.651
Fe 5.674 2.698 19.892
Fe 5.464 2.883 9.768
B 2.137 2.721 17.309
B 1.897 2.827 7.178
B 2.830 1.333 9.681
B 3.078 1.173 19.868
B 4.416 4.450 2.116
B 4.681 4.352 12.250
B 5.581 2.774 14.772
B 5.362 2.919 4.649
O 2.038 2.380 10.121
O 0.705 -0.158 12.341
O 1.970 2.626 0.059
O 3.049 4.322 2.029
O 2.596 1.670 6.846
O 2.873 1.570 17.017
O 2.291 0.064 19.558
O 2.378 1.092 2.509
O 2.250 0.110 9.351
O 2.851 0.891 12.592
O 4.878 3.910 15.169
O 4.674 4.073 5.017
O 4.184 1.498 9.523
O 5.309 3.148 11.814
O 4.450 1.114 19.700
O 5.231 3.386 1.750
O 4.947 1.546 14.649
O 4.779 1.687 4.715
O 6.049 2.633 17.710
O 5.819 2.736 7.638
O 6.937 2.862 14.454
O 6.720 3.043 4.230
O 7.984 3.968 17.179
O 7.734 4.068 7.008
```

Main lines, in order of rising 2θ (2θ = 10–90°):
| two_theta | d (Å) | intensity |
| --- | --- | --- |
| 19.52 | 4.547 | 89 |
| 21.52 | 4.130 | 68 |
| 21.63 | 4.108 | 40 |
| 25.95 | 3.433 | 30 |
| 26.12 | 3.412 | 29 |
| 26.69 | 3.340 | 22 |
| 34.11 | 2.629 | 65 |
| 34.19 | 2.623 | 31 |
| 35.42 | 2.534 | 100 |
| 38.20 | 2.356 | 24 |
| 40.43 | 2.231 | 47 |
| 53.79 | 1.704 | 20 |


No. 3
Diffraction record for FeOF. The powder diffraction line list is computed, not measured: it uses a structure optimized by DFT (GGA+U) and Cu Kα (weighted mean of Kα1 and Kα2).

Crystal structure
```
36
Lattice="9.554 0.000 0.000 0.000 3.088 0.000 -0.079 0.000 14.262" Properties=species:S:1:pos:R:3 pbc="T T T"
Fe 0.000 0.000 0.000
Fe 9.524 0.000 4.759
Fe -0.022 0.000 9.403
Fe 2.288 1.544 11.518
Fe 2.401 1.544 1.944
Fe 2.387 1.544 6.754
Fe 4.723 0.000 4.699
Fe 4.742 0.000 9.564
Fe 4.778 0.000 14.224
Fe 6.832 1.544 11.816
Fe 7.185 1.544 2.003
Fe 7.420 1.544 7.080
O 1.343 0.000 10.753
O 1.463 0.000 1.292
O 1.484 0.000 6.047
O 3.791 1.544 10.244
O 3.866 1.544 0.767
O 3.932 1.544 5.540
O 5.608 1.544 13.220
O 6.252 0.000 1.424
O 6.256 0.000 10.765
O 8.147 0.000 8.004
O 8.601 1.544 5.532
O 8.672 1.544 0.742
F 0.865 1.544 13.127
F 0.929 1.544 3.686
F 0.937 1.544 8.442
F 3.146 0.000 12.598
F 3.308 0.000 7.882
F 3.370 0.000 3.184
F 5.680 1.544 8.373
F 5.758 1.544 3.777
F 6.277 0.000 6.101
F 8.146 0.000 3.187
F 8.088 0.000 12.640
F 8.623 1.544 10.318
```

Main lines, in order of rising 2θ (2θ = 10–90°):
| two_theta | d (Å) | intensity |
| --- | --- | --- |
| 26.38 | 3.379 | 95 |
| 26.52 | 3.360 | 93 |
| 34.62 | 2.591 | 100 |
| 39.54 | 2.279 | 19 |
| 39.64 | 2.273 | 17 |
| 52.01 | 1.758 | 28 |
| 52.15 | 1.754 | 54 |
| 52.29 | 1.750 | 25 |
| 59.92 | 1.544 | 18 |
| 66.01 | 1.415 | 20 |
| 66.30 | 1.410 | 17 |
| 66.63 | 1.404 | 22 |